No. 1
Structure and simulated powder diffraction line list of MgH5Ir3 (DFT lattice parameters and positions (GGA-PBE); λ = 1.5418 Å (Cu Kα)).

Structural model:
Cell lengths 4.824, 4.824, 6.029 Å; angles 126.06, 126.06, 55.69 degrees
Sites, in units of the cell vectors:
1 Mg 0.000 0.000 0.000
2 H 0.195 0.656 0.229
3 H 0.304 0.304 0.801
4 H 0.358 0.830 0.796
5 H 0.656 0.195 0.229
6 H 0.830 0.358 0.796
7 Ir 0.012 0.012 0.519
8 Ir 0.370 0.370 0.595
9 Ir 0.645 0.645 0.399

Main lines, by angle (2θ = 10–90°):
4.499 Å, intensity 100
2.367 Å, intensity 28
2.349 Å, intensity 50
2.294 Å, intensity 42
2.252 Å, intensity 35
2.015 Å, intensity 25
1.920 Å, intensity 27
1.624 Å, intensity 14

=====

No. 2
Structure and simulated powder diffraction line list of Mg5HIr4 (DFT lattice parameters and positions (GGA-PBE); λ = 1.5418 Å (Cu Kα)).

Structural model:
Cell lengths 4.467, 4.503, 8.384 Å; angles 90.51, 90.01, 119.71 degrees
Sites, in units of the cell vectors:
1 Mg 0.000 0.000 0.000
2 Mg 0.333 0.667 0.427
3 Mg 0.338 0.673 0.785
4 Mg 0.662 0.327 0.215
5 Mg 0.667 0.333 0.573
6 H 0.500 0.000 0.000
7 Ir 0.001 0.999 0.651
8 Ir 0.318 0.638 0.113
9 Ir 0.682 0.362 0.887
10 Ir 0.999 0.001 0.349

Main lines, by angle (2θ = 10–90°):
3.559 Å, intensity 56
3.514 Å, intensity 100
2.840 Å, intensity 38
2.273 Å, intensity 93
2.263 Å, intensity 48
2.252 Å, intensity 92
2.234 Å, intensity 47
1.590 Å, intensity 31

=====

No. 3
Structure and simulated powder diffraction line list of Mg2H3Ir (DFT lattice parameters and positions (GGA-PBE); λ = 1.5418 Å (Cu Kα)).

Structural model:
Cell lengths 6.272, 6.709, 4.505 Å; angles 90.00, 133.90, 90.00 degrees
Sites, in units of the cell vectors:
1 Mg 0.000 0.000 0.000
2 Mg 0.000 0.500 0.000
3 Mg 0.500 0.000 0.000
4 Mg 0.500 0.500 0.000
5 H 0.000 0.497 0.500
6 H 0.241 0.255 0.984
7 H 0.259 0.755 0.016
8 H 0.500 0.997 0.500
9 H 0.741 0.755 0.984
10 H 0.759 0.255 0.016
11 Ir 0.000 0.745 0.500
12 Ir 0.500 0.245 0.500

Main lines, by angle (2θ = 10–90°):
3.743 Å, intensity 100
3.355 Å, intensity 10
2.333 Å, intensity 23
2.291 Å, intensity 22
2.259 Å, intensity 11
2.251 Å, intensity 10
2.004 Å, intensity 18
1.908 Å, intensity 16

=====

No. 4
Structure and simulated powder diffraction line list of Mg5H2Ir (DFT lattice parameters and positions (GGA-PBE); λ = 1.5418 Å (Cu Kα)).

Structural model:
Cell lengths 4.725, 5.357, 5.634 Å; angles 89.92, 89.97, 66.11 degrees
Sites, in units of the cell vectors:
1 Mg 0.000 0.000 0.000
2 Mg 0.147 0.203 0.500
3 Mg 0.500 0.499 0.753
4 Mg 0.500 0.501 0.247
5 Mg 0.853 0.797 0.500
6 H 0.345 0.229 0.004
7 H 0.655 0.771 0.996
8 Ir 0.000 0.500 0.000

Main lines, by angle (2θ = 10–90°):
5.634 Å, intensity 96
4.898 Å, intensity 100
4.321 Å, intensity 69
3.696 Å, intensity 81
3.429 Å, intensity 69
2.389 Å, intensity 56
2.360 Å, intensity 96
2.338 Å, intensity 47

=====

No. 5
Structure and simulated powder diffraction line list of MgH2Ir3 (DFT lattice parameters and positions (GGA-PBE); λ = 1.5418 Å (Cu Kα)).

Structural model:
Cell lengths 4.834, 2.834, 4.959 Å; angles 90.00, 90.34, 90.00 degrees
Sites, in units of the cell vectors:
1 Mg 0.000 0.000 0.000
2 H 0.194 0.000 0.380
3 H 0.429 0.000 0.060
4 Ir 0.021 0.500 0.519
5 Ir 0.529 0.500 0.855
6 Ir 0.567 0.000 0.409

Main lines, by angle (2θ = 10–90°):
4.959 Å, intensity 63
2.480 Å, intensity 37
2.461 Å, intensity 38
2.417 Å, intensity 73
2.212 Å, intensity 40
2.195 Å, intensity 92
2.190 Å, intensity 100
1.726 Å, intensity 36

=====

No. 6
Structure and simulated powder diffraction line list of Mg3HIr (DFT lattice parameters and positions (GGA-PBE); λ = 1.5418 Å (Cu Kα)).

Structural model:
Cell lengths 4.531, 5.456, 7.252 Å; angles 82.49, 72.73, 65.72 degrees
Sites, in units of the cell vectors:
1 Mg 0.000 0.000 0.000
2 Mg 0.004 0.449 0.538
3 Mg 0.248 0.383 0.123
4 Mg 0.385 0.862 0.379
5 Mg 0.662 0.038 0.665
6 Mg 0.715 0.604 0.955
7 H 0.226 0.343 0.823
8 H 0.848 0.967 0.344
9 Ir 0.318 0.614 0.741
10 Ir 0.695 0.301 0.316

Main lines, by angle (2θ = 10–90°):
4.973 Å, intensity 44
4.058 Å, intensity 45
4.021 Å, intensity 72
3.957 Å, intensity 68
3.937 Å, intensity 81
2.335 Å, intensity 55
2.310 Å, intensity 100
2.265 Å, intensity 40

=====

No. 7
Structure and simulated powder diffraction line list of MgH3Ir3 (DFT lattice parameters and positions (GGA-PBE); λ = 1.5418 Å (Cu Kα)).

Structural model:
Cell lengths 4.182, 5.681, 5.829 Å; angles 90.00, 90.00, 90.00 degrees
Sites, in units of the cell vectors:
1 Mg 0.000 0.000 0.000
2 Mg 0.000 0.500 0.500
3 H 0.256 0.000 0.299
4 H 0.256 0.500 0.799
5 H 0.500 0.000 0.949
6 H 0.500 0.500 0.449
7 H 0.744 0.000 0.299
8 H 0.744 0.500 0.799
9 Ir 0.000 0.000 0.540
10 Ir 0.000 0.500 0.040
11 Ir 0.500 0.239 0.755
12 Ir 0.500 0.261 0.255
13 Ir 0.500 0.739 0.255
14 Ir 0.500 0.761 0.755

Main lines, by angle (2θ = 10–90°):
4.068 Å, intensity 34
2.915 Å, intensity 36
2.391 Å, intensity 100
2.350 Å, intensity 98
2.091 Å, intensity 35
2.034 Å, intensity 62
1.458 Å, intensity 53
1.221 Å, intensity 23

=====

No. 8
Structure and simulated powder diffraction line list of Mg5HIr3 (DFT lattice parameters and positions (GGA-PBE); λ = 1.5418 Å (Cu Kα)).

Structural model:
Cell lengths 4.280, 5.019, 7.776 Å; angles 80.72, 74.04, 64.78 degrees
Sites, in units of the cell vectors:
1 Mg 0.000 0.000 0.000
2 Mg 0.047 0.291 0.615
3 Mg 0.190 0.402 0.216
4 Mg 0.355 0.483 0.806
5 Mg 0.411 0.776 0.400
6 H 0.756 0.299 0.183
7 Ir 0.690 0.599 0.019
8 Ir 0.697 0.889 0.716
9 Ir 0.700 0.184 0.414

Main lines, by angle (2θ = 10–90°):
3.966 Å, intensity 64
3.767 Å, intensity 100
2.489 Å, intensity 18
2.340 Å, intensity 40
2.249 Å, intensity 41
2.177 Å, intensity 25
2.139 Å, intensity 39
1.884 Å, intensity 31

=====

No. 9
Structure and simulated powder diffraction line list of MgH5Ir3 (DFT lattice parameters and positions (GGA-PBE); λ = 1.5418 Å (Cu Kα)).

Structural model:
Cell lengths 4.514, 4.772, 4.832 Å; angles 85.37, 89.84, 61.77 degrees
Sites, in units of the cell vectors:
1 Mg 0.000 0.000 0.000
2 H 0.001 0.486 0.756
3 H 0.108 0.323 0.224
4 H 0.508 0.484 0.756
5 H 0.568 0.322 0.223
6 H 0.572 0.857 0.081
7 Ir 0.141 0.715 0.542
8 Ir 0.494 0.010 0.369
9 Ir 0.816 0.365 0.497

Main lines, by angle (2θ = 10–90°):
4.813 Å, intensity 100
3.131 Å, intensity 13
2.374 Å, intensity 42
2.257 Å, intensity 22
2.197 Å, intensity 28
2.067 Å, intensity 31
2.046 Å, intensity 11
2.041 Å, intensity 11

=====

No. 10
Structure and simulated powder diffraction line list of Mg5HIr4 (DFT lattice parameters and positions (GGA-PBE); λ = 1.5418 Å (Cu Kα)).

Structural model:
Cell lengths 5.093, 5.093, 7.951 Å; angles 101.83, 101.83, 52.01 degrees
Sites, in units of the cell vectors:
1 Mg 0.000 0.000 0.000
2 Mg 0.247 0.247 0.823
3 Mg 0.324 0.324 0.191
4 Mg 0.521 0.521 0.681
5 Mg 0.957 0.957 0.400
6 H 0.549 0.549 0.101
7 Ir 0.247 0.247 0.488
8 Ir 0.646 0.646 0.318
9 Ir 0.709 0.709 0.000
10 Ir 0.808 0.808 0.666

Main lines, by angle (2θ = 10–90°):
4.457 Å, intensity 87
4.311 Å, intensity 33
3.993 Å, intensity 41
3.410 Å, intensity 36
3.321 Å, intensity 32
2.276 Å, intensity 70
2.235 Å, intensity 100
2.073 Å, intensity 42

=====

No. 11
Structure and simulated powder diffraction line list of Mg3H5Ir2 (DFT lattice parameters and positions (GGA-PBE); λ = 1.5418 Å (Cu Kα)).

Structural model:
Cell lengths 7.560, 7.560, 4.711 Å; angles 103.63, 103.63, 24.07 degrees
Sites, in units of the cell vectors:
1 Mg 0.000 0.000 0.000
2 Mg 0.151 0.151 0.605
3 Mg 0.837 0.837 0.378
4 H 0.213 0.213 0.228
5 H 0.407 0.407 0.185
6 H 0.407 0.407 0.716
7 H 0.577 0.577 0.308
8 H 0.745 0.745 0.889
9 Ir 0.487 0.487 0.512
10 Ir 0.662 0.662 0.083

Main lines, by angle (2θ = 10–90°):
7.176 Å, intensity 100
4.362 Å, intensity 87
3.493 Å, intensity 56
3.079 Å, intensity 70
2.495 Å, intensity 43
2.425 Å, intensity 86
2.392 Å, intensity 44
2.161 Å, intensity 64

=====

No. 12
Structure and simulated powder diffraction line list of Mg5HIr3 (DFT lattice parameters and positions (GGA-PBE); λ = 1.5418 Å (Cu Kα)).

Structural model:
Cell lengths 5.211, 5.211, 5.167 Å; angles 92.02, 92.02, 93.89 degrees
Sites, in units of the cell vectors:
1 Mg 0.000 0.000 0.000
2 Mg 0.222 0.514 0.254
3 Mg 0.486 0.778 0.746
4 Mg 0.542 0.092 0.309
5 Mg 0.908 0.458 0.691
6 H 0.668 0.332 0.000
7 Ir 0.040 0.960 0.500
8 Ir 0.388 0.273 0.797
9 Ir 0.727 0.612 0.203

Main lines, by angle (2θ = 10–90°):
3.808 Å, intensity 56
3.732 Å, intensity 100
2.858 Å, intensity 19
2.286 Å, intensity 40
2.277 Å, intensity 37
2.262 Å, intensity 42
2.184 Å, intensity 37
2.141 Å, intensity 18

=====

No. 13
Structure and simulated powder diffraction line list of Mg5H3Ir2 (DFT lattice parameters and positions (GGA-PBE); λ = 1.5418 Å (Cu Kα)).

Structural model:
Cell lengths 4.423, 4.423, 6.975 Å; angles 90.00, 90.00, 90.31 degrees
Sites, in units of the cell vectors:
1 Mg 0.000 0.000 0.000
2 Mg 0.000 0.500 0.268
3 Mg 0.000 0.500 0.727
4 Mg 0.500 0.000 0.268
5 Mg 0.500 0.000 0.727
6 H 0.269 0.269 0.497
7 H 0.500 0.500 0.753
8 H 0.731 0.731 0.497
9 Ir 0.000 0.000 0.499
10 Ir 0.500 0.500 0.991

Main lines, by angle (2θ = 10–90°):
3.735 Å, intensity 100
3.487 Å, intensity 16
2.332 Å, intensity 30
2.325 Å, intensity 29
2.211 Å, intensity 26
2.058 Å, intensity 20
1.907 Å, intensity 16
1.899 Å, intensity 16

=====

No. 14
Structure and simulated powder diffraction line list of MgH2Ir4 (DFT lattice parameters and positions (GGA-PBE); λ = 1.5418 Å (Cu Kα)).

Structural model:
Cell lengths 4.342, 5.494, 7.281 Å; angles 90.00, 90.00, 90.00 degrees
Sites, in units of the cell vectors:
1 Mg 0.000 0.000 0.000
2 Mg 0.500 0.500 0.500
3 H 0.245 0.500 0.762
4 H 0.255 0.000 0.262
5 H 0.745 0.000 0.262
6 H 0.755 0.500 0.762
7 Ir 0.000 0.000 0.645
8 Ir 0.000 0.262 0.310
9 Ir 0.000 0.500 0.973
10 Ir 0.000 0.738 0.310
11 Ir 0.500 0.000 0.473
12 Ir 0.500 0.238 0.810
13 Ir 0.500 0.500 0.145
14 Ir 0.500 0.762 0.810

Main lines, by angle (2θ = 10–90°):
4.386 Å, intensity 80
2.487 Å, intensity 43
2.212 Å, intensity 100
2.193 Å, intensity 47
2.171 Å, intensity 43
2.119 Å, intensity 80
1.543 Å, intensity 32
1.243 Å, intensity 31